(1)
Computed powder XRD pattern
Compound: HoAl3Cl12
Radiation: Cu Kα (λ = 1.5418 Å)
Structure: a DFT-relaxed cell (GGA-PBE, Alexandria)
Neutral-atom scattering factors, no anomalous dispersion.

Principal peaks in the range 2θ from 5° to 70°, by angle:
9.3°, I = 28.5, hkl 1 0 0; 10.8°, I = 100.0, hkl 1 0 1; 14.3°, I = 67.2, hkl 1 0 2; 17.0°, I = 15.9, hkl 1 1 1; 18.7°, I = 17.5, hkl 2 0 0; 23.1°, I = 20.2, hkl 1 1 3; 24.9°, I = 19.1, hkl 2 0 3; 27.1°, I = 13.6, hkl 2 1 2; 30.3°, I = 20.3, hkl 3 0 2; 32.0°, I = 17.8, hkl 1 1 5; 36.7°, I = 20.6, hkl 4 -2 3; 41.7°, I = 11.5, hkl 3 -1 6

Atomic structure:
Unit cell a=10.9768 b=10.9768 c=16.2771 alpha=90.00 beta=90.00 gamma=120.00
Space group P3_112 (No. 151)
Unique sites:
1 Ho 0.1800 0.3599 0.1667
2 Al 0.2237 0.6118 0.0000
3 Al 0.3026 0.1158 0.2311
4 Cl 0.0225 0.1924 0.0416
5 Cl 0.0980 0.5452 0.8889
6 Cl 0.1011 0.2824 0.5399
7 Cl 0.1649 0.5089 0.3124
8 Cl 0.3351 0.0961 0.8835
9 Cl 0.4917 0.1865 0.2962

(2)
Computed powder XRD pattern
Compound: AlICl6
Radiation: Cu Kα (λ = 1.5418 Å)
Structure: a DFT-relaxed cell (GGA-PBE, Alexandria)
Neutral-atom scattering factors, no anomalous dispersion.

Principal peaks in the range 2θ from 5° to 70°, by angle:
14.0°, I = 100.0, hkl 0 1 1; 14.7°, I = 49.6, hkl 0 2 0; 18.2°, I = 33.5, hkl 1 1 -1; 19.0°, I = 29.5, hkl 0 2 1; 20.4°, I = 60.7, hkl 1 2 0; 21.4°, I = 44.1, hkl 1 1 1; 25.2°, I = 41.2, hkl 0 3 1; 26.3°, I = 23.8, hkl 1 3 0; 29.5°, I = 38.9, hkl 2 1 -1; 30.1°, I = 48.3, hkl 1 3 1; 36.8°, I = 20.9, hkl 2 2 -2; 42.8°, I = 22.5, hkl 1 5 1

Atomic structure:
Unit cell a=6.4374 b=12.0405 c=7.5648 alpha=90.00 beta=100.93 gamma=90.00
Space group P2_1 (No. 4)
Unique sites:
1 Al 0.0874 0.0000 0.4960
2 I 0.4934 0.8516 0.2016
3 Cl 0.1449 0.1096 0.2911
4 Cl 0.2121 0.8326 0.4476
5 Cl 0.2133 0.0500 0.7635
6 Cl 0.2551 0.3772 0.9846
7 Cl 0.2563 0.4779 0.5143
8 Cl 0.2614 0.7409 0.9949

(3)
Computed powder XRD pattern
Compound: AlI2Cl
Radiation: Cu Kα (λ = 1.5418 Å)
Structure: a DFT-relaxed cell (GGA-PBE, Alexandria)
Neutral-atom scattering factors, no anomalous dispersion.

Principal peaks in the range 2θ from 5° to 70°, by angle:
12.9°, I = 48.1, hkl 0 0 1; 14.9°, I = 39.1, hkl 0 1 0; 23.5°, I = 50.5, hkl 0 1 -1; 24.0°, I = 52.0, hkl 0 1 2; 25.6°, I = 100.0, hkl 1 -1 0; 27.4°, I = 30.7, hkl 0 2 1; 29.0°, I = 30.4, hkl 1 0 -1; 29.3°, I = 25.9, hkl 1 0 2; 39.3°, I = 17.3, hkl 0 0 3; 40.7°, I = 15.0, hkl -1 2 2; 47.3°, I = 18.7, hkl 1 -1 3; 48.0°, I = 16.5, hkl 1 1 4

Atomic structure:
Unit cell a=4.1183 b=6.5134 c=7.8051 alpha=66.67 beta=75.10 gamma=89.98
Space group P1 (No. 1)
Unique sites:
1 Al 0.0000 0.0000 0.0000
2 I 0.5027 0.7349 0.9949
3 I 0.8486 0.0492 0.3092
4 Cl 0.1288 0.2877 0.7350

(4)
Computed powder XRD pattern
Compound: Na8Al6Si6IClO24
Radiation: Cu Kα (λ = 1.5418 Å)
Structure: a DFT-relaxed cell (GGA-PBE, Alexandria)
Neutral-atom scattering factors, no anomalous dispersion.

Principal peaks in the range 2θ from 5° to 70°, by angle:
9.8°, I = 8.6, hkl 1 0 0; 19.6°, I = 9.7, hkl 2 0 0; 22.0°, I = 7.9, hkl 2 1 0; 24.1°, I = 100.0, hkl 2 1 1; 34.4°, I = 8.0, hkl 2 2 2; 37.2°, I = 28.9, hkl 3 2 1; 42.4°, I = 32.5, hkl 3 3 0; 44.9°, I = 6.2, hkl 4 2 0; 55.7°, I = 6.6, hkl 5 1 2; 57.7°, I = 9.7, hkl 4 4 0; 61.6°, I = 11.2, hkl 6 0 0; 63.5°, I = 16.2, hkl 5 3 2

Atomic structure:
Unit cell a=9.0373 b=9.0373 c=9.0373 alpha=90.00 beta=90.00 gamma=90.00
Space group P23 (No. 195)
Unique sites:
1 Na 0.1812 0.1812 0.1812
2 Na 0.3067 0.3067 0.6933
3 Al 0.0000 0.2504 0.5000
4 Si 0.0000 0.5000 0.2493
5 I 0.5000 0.5000 0.5000
6 Cl 0.0000 0.0000 0.0000
7 O 0.0565 0.3590 0.6513
8 O 0.1402 0.4422 0.1497

(5)
Computed powder XRD pattern
Compound: AlIn2Cl6
Radiation: Cu Kα (λ = 1.5418 Å)
Structure: a DFT-relaxed cell (GGA-PBE, Alexandria)
Neutral-atom scattering factors, no anomalous dispersion.

Principal peaks in the range 2θ from 5° to 70°, by angle:
14.4°, I = 100.0, hkl 0 0 1; 16.2°, I = 16.1, hkl 2 0 0; 25.0°, I = 14.6, hkl 0 2 0; 26.7°, I = 28.8, hkl 3 1 -1; 29.0°, I = 19.2, hkl 0 2 1; 29.9°, I = 92.5, hkl 2 2 0; 33.2°, I = 31.3, hkl 3 1 -2; 35.3°, I = 22.0, hkl 4 0 -2; 35.9°, I = 41.1, hkl 2 2 1; 37.7°, I = 19.1, hkl 2 2 -2; 40.5°, I = 35.5, hkl 4 0 1; 53.5°, I = 16.0, hkl 6 2 -1

Atomic structure:
Unit cell a=11.7303 b=7.1283 c=6.5800 alpha=90.00 beta=110.76 gamma=90.00
Space group C2/m (No. 12)
Unique sites:
1 Al 0.0000 0.0000 0.0000
2 In 0.2121 0.5000 0.1034
3 Cl 0.0555 0.2313 0.7977
4 Cl 0.1969 0.0000 0.2511

(6)
Computed powder XRD pattern
Compound: AlIn2Cl6
Radiation: Cu Kα (λ = 1.5418 Å)
Structure: a DFT-relaxed cell (GGA-PBE, Alexandria)
Neutral-atom scattering factors, no anomalous dispersion.

Principal peaks in the range 2θ from 5° to 70°, by angle:
12.1°, I = 42.8, hkl 1 1 0; 16.8°, I = 38.4, hkl 0 0 2; 18.2°, I = 100.0, hkl 0 2 0; 26.0°, I = 64.1, hkl 3 1 0; 26.9°, I = 42.1, hkl 2 2 -2; 28.6°, I = 31.3, hkl 1 3 0; 32.6°, I = 31.9, hkl 4 0 0; 33.9°, I = 25.2, hkl 1 1 -4; 37.0°, I = 46.4, hkl 3 3 0; 37.6°, I = 28.8, hkl 4 2 0; 38.1°, I = 27.1, hkl 2 2 -4; 51.4°, I = 19.8, hkl 1 5 2

Atomic structure:
Unit cell a=11.4649 b=9.7711 c=11.0021 alpha=90.00 beta=106.78 gamma=90.00
Space group C2/c (No. 15)
Unique sites:
1 Al 0.0000 0.0350 0.2500
2 In 0.1447 0.4974 0.1791
3 Cl 0.0878 0.0949 0.6454
4 Cl 0.1206 0.4476 0.9226
5 Cl 0.1439 0.1732 0.3523

(7)
Computed powder XRD pattern
Compound: Al2In5Cl12
Radiation: Cu Kα (λ = 1.5418 Å)
Structure: a DFT-relaxed cell (GGA-PBE, Alexandria)
Neutral-atom scattering factors, no anomalous dispersion.

Principal peaks in the range 2θ from 5° to 70°, by angle:
20.4°, I = 89.1, hkl 3 1 0; 21.6°, I = 100.0, hkl 1 1 -2; 24.5°, I = 30.0, hkl 0 2 0; 30.1°, I = 16.3, hkl 5 1 0; 33.0°, I = 58.1, hkl 6 0 0; 34.4°, I = 36.0, hkl 2 2 2; 35.0°, I = 36.5, hkl 4 2 -2; 36.0°, I = 24.6, hkl 2 0 -4; 39.5°, I = 16.9, hkl 4 2 -3; 40.7°, I = 29.1, hkl 3 3 0; 41.3°, I = 29.5, hkl 1 3 -2; 50.1°, I = 18.7, hkl 0 4 0

Atomic structure:
Unit cell a=16.8616 b=7.2874 c=9.9802 alpha=90.00 beta=105.42 gamma=90.00
Space group C2/m (No. 12)
Unique sites:
1 Al 0.0000 0.2478 0.0000
2 In 0.0000 0.0000 0.5000
3 In 0.1962 0.5000 0.8280
4 In 0.2021 0.5000 0.3720
5 Cl 0.0013 0.5000 0.8358
6 Cl 0.0017 0.0000 0.8382
7 Cl 0.1381 0.2526 0.0658
8 Cl 0.1613 0.2506 0.5643

(8)
Computed powder XRD pattern
Compound: MnAl2IrCl
Radiation: Cu Kα (λ = 1.5418 Å)
Structure: a DFT-relaxed cell (GGA-PBE, Alexandria)
Neutral-atom scattering factors, no anomalous dispersion.

Principal peaks in the range 2θ from 5° to 70°, by angle:
18.6°, I = 100.0, hkl 1 0 0; 26.4°, I = 52.2, hkl 1 1 0; 27.8°, I = 15.4, hkl 1 0 1; 33.7°, I = 53.0, hkl 1 1 1; 37.6°, I = 44.2, hkl 2 0 0; 41.9°, I = 16.3, hkl 0 0 2; 42.3°, I = 25.4, hkl 2 1 0; 46.2°, I = 19.8, hkl 1 0 2; 50.2°, I = 17.5, hkl 1 1 2; 57.5°, I = 25.0, hkl 2 0 2; 61.0°, I = 17.3, hkl 2 1 2; 65.4°, I = 15.7, hkl 3 1 1

Atomic structure:
Unit cell a=4.7829 b=4.7829 c=4.3149 alpha=90.00 beta=90.00 gamma=90.00
Space group P4/mmm (No. 123)
Unique sites:
1 Mn 0.0000 0.0000 0.0000
2 Al 0.0000 0.5000 0.0000
3 Ir 0.0000 0.0000 0.5000
4 Cl 0.5000 0.5000 0.5000

(9)
Computed powder XRD pattern
Compound: KAlCl4
Radiation: Cu Kα (λ = 1.5418 Å)
Structure: a DFT-relaxed cell (GGA-PBE, Alexandria)
Neutral-atom scattering factors, no anomalous dispersion.

Principal peaks in the range 2θ from 5° to 70°, by angle:
17.8°, I = 50.0, hkl 0 0 2; 22.8°, I = 84.2, hkl 1 2 0; 23.2°, I = 44.1, hkl 1 1 1; 24.8°, I = 32.6, hkl 0 2 2; 27.3°, I = 83.7, hkl 0 3 1; 27.4°, I = 31.7, hkl 2 1 -3; 29.5°, I = 55.8, hkl 1 0 2; 29.9°, I = 100.0, hkl 2 2 -2; 34.3°, I = 56.8, hkl 1 2 2; 39.1°, I = 33.9, hkl 3 1 -2; 39.2°, I = 44.4, hkl 0 4 2; 45.3°, I = 36.1, hkl 2 3 -5

Atomic structure:
Unit cell a=7.3022 b=10.3713 c=12.3463 alpha=90.00 beta=126.10 gamma=90.00
Space group P2_1/c (No. 14)
Unique sites:
1 K 0.0624 0.2470 0.2480
2 Al 0.4322 0.0029 0.6825
3 Cl 0.2052 0.5363 0.6916
4 Cl 0.2473 0.1696 0.5615
5 Cl 0.3194 0.5298 0.3080
6 Cl 0.3772 0.6642 0.0624

(10)
Computed powder XRD pattern
Compound: K2AlCl5
Radiation: Cu Kα (λ = 1.5418 Å)
Structure: a DFT-relaxed cell (GGA-PBE, Alexandria)
Neutral-atom scattering factors, no anomalous dispersion.

Principal peaks in the range 2θ from 5° to 70°, by angle:
15.5°, I = 52.8, hkl 1 0 1; 26.1°, I = 20.3, hkl 1 1 2; 28.9°, I = 10.5, hkl 2 1 1; 31.3°, I = 100.0, hkl 2 0 2; 32.0°, I = 9.4, hkl 1 0 3; 34.5°, I = 52.8, hkl 2 2 0; 39.7°, I = 16.4, hkl 0 0 4; 45.6°, I = 13.5, hkl 3 2 1; 49.7°, I = 13.6, hkl 4 0 0; 53.6°, I = 20.3, hkl 2 2 4; 54.3°, I = 9.7, hkl 3 2 3; 59.9°, I = 15.3, hkl 4 2 2

Atomic structure:
Unit cell a=7.3440 b=7.3440 c=9.0854 alpha=90.00 beta=90.00 gamma=90.00
Space group I4mm (No. 107)
Unique sites:
1 K 0.0000 0.5000 0.0000
2 Al 0.0000 0.0000 0.2873
3 Cl 0.0000 0.0000 0.5257
4 Cl 0.2163 0.2163 0.2342

(11)
Computed powder XRD pattern
Compound: K2AlCl
Radiation: Cu Kα (λ = 1.5418 Å)
Structure: a DFT-relaxed cell (GGA-PBE, Alexandria)
Neutral-atom scattering factors, no anomalous dispersion.

Principal peaks in the range 2θ from 5° to 70°, by angle:
9.4°, I = 52.4, hkl 0 0 1; 30.9°, I = 100.0, hkl 0 1 2; 31.1°, I = 97.9, hkl 1 0 2; 34.7°, I = 85.1, hkl 1 1 0; 37.7°, I = 15.1, hkl 0 1 3; 37.9°, I = 14.9, hkl 1 0 3; 38.3°, I = 14.4, hkl 0 0 4; 49.6°, I = 13.7, hkl 0 2 0; 50.2°, I = 13.2, hkl 2 0 0; 52.6°, I = 20.8, hkl 1 1 4; 59.7°, I = 24.8, hkl 1 2 2; 60.1°, I = 24.3, hkl 2 1 2

Atomic structure:
Unit cell a=3.6368 b=3.6785 c=9.3982 alpha=90.00 beta=90.00 gamma=90.00
Space group Pmmm (No. 47)
Unique sites:
1 K 0.0000 0.0000 0.2051
2 Al 0.5000 0.5000 0.5000
3 Cl 0.5000 0.5000 0.0000